For MnVAs, a structure optimized by DFT (PBE) gives the theoretical powder diffraction line list in this record (Cu Kα X-rays).

Peak list (8 most intense, 10 to 90 degrees two-theta, in order of falling intensity)
- 44.78°, rel. 100, (1 1 2)
- 37.36°, rel. 69, (1 1 1)
- 49.73°, rel. 56, (2 0 0)
- 34.60°, rel. 34, (1 1 0)
- 41.84°, rel. 30, (0 0 3)
- 66.96°, rel. 26, (2 0 3)
- 89.85°, rel. 25, (3 1 2)
- 48.96°, rel. 19, (1 0 3)

Crystal structure
Cell lengths 3.667, 3.667, 6.477 Å; angles 90.00, 90.00, 90.00 degrees
Sites, in units of the cell vectors:
Mn  0.250  0.250  0.161
Mn  0.750  0.750  0.839
V  0.250  0.750  0.500
V  0.750  0.250  0.500
As  0.250  0.250  0.778
As  0.750  0.750  0.222

---

For KNaMg6O7, a structure optimized by DFT (PBE) gives the theoretical powder diffraction line list in this record (Cu Kα X-rays).

Peak list (8 most intense, 10 to 90 degrees two-theta, in order of falling intensity)
- 42.50°, rel. 100, (2 0 0)
- 34.04°, rel. 53, (1 1 2)
- 32.87°, rel. 30, (0 0 4)
- 61.67°, rel. 28, (2 2 0)
- 16.27°, rel. 26, (0 0 2)
- 54.75°, rel. 25, (2 0 4)
- 60.85°, rel. 23, (2 0 5)
- 41.43°, rel. 22, (0 0 5)

Crystal structure
Cell lengths 4.254, 4.254, 10.898 Å; angles 90.00, 90.00, 90.00 degrees
Sites, in units of the cell vectors:
K  0.000  0.000  0.000
Na  0.500  0.500  0.070
Mg  0.000  0.000  0.521
Mg  0.000  0.500  0.296
Mg  0.000  0.500  0.723
Mg  0.500  0.000  0.296
Mg  0.500  0.000  0.723
Mg  0.500  0.500  0.538
O  0.000  0.000  0.337
O  0.000  0.000  0.734
O  0.000  0.500  0.122
O  0.000  0.500  0.531
O  0.500  0.000  0.122
O  0.500  0.000  0.531
O  0.500  0.500  0.735

---

For Nb12Br17F13, a structure optimized by DFT (PBE) gives the theoretical powder diffraction line list in this record (Cu Kα X-rays).

Peak list (8 most intense, 10 to 90 degrees two-theta, in order of falling intensity)
- 11.46°, rel. 100, (0 1 -1)
- 32.71°, rel. 74, (2 -3 2)
- 14.27°, rel. 71, (0 1 1)
- 19.44°, rel. 36, (-1 2 1)
- 26.79°, rel. 24, (1 -1 3)
- 37.29°, rel. 23, (2 -3 3)
- 32.64°, rel. 23, (1 2 1)
- 14.71°, rel. 22, (0 0 2)

Crystal structure
Cell lengths 9.845, 9.864, 13.298 Å; angles 90.27, 111.46, 119.81 degrees
Sites, in units of the cell vectors:
Nb  0.000  0.000  0.000
Nb  0.000  0.167  0.500
Nb  0.198  0.596  0.700
Nb  0.201  0.768  0.202
Nb  0.213  0.499  0.503
Nb  0.216  0.883  0.999
Nb  0.315  0.381  0.702
Nb  0.317  0.100  0.202
Nb  0.880  0.380  0.500
Nb  0.884  0.668  0.000
Nb  0.983  0.266  0.702
Nb  0.985  0.885  0.202
Br  0.244  0.297  0.101
Br  0.245  0.113  0.600
Br  0.353  0.640  0.356
Br  0.353  0.885  0.847
Br  0.370  0.739  0.100
Br  0.513  0.533  0.603
Br  0.514  0.153  0.101
Br  0.600  0.386  0.351
Br  0.601  0.382  0.851
Br  0.684  0.237  0.601
Br  0.687  0.615  0.101
Br  0.830  0.969  0.601
Br  0.831  0.029  0.102
Br  0.847  0.133  0.851
Br  0.848  0.882  0.351
Br  0.957  0.471  0.101
Br  0.959  0.655  0.601
F  0.092  0.775  0.309
F  0.093  0.487  0.809
F  0.108  0.993  0.893
F  0.110  0.286  0.394
F  0.205  0.273  0.810
F  0.206  0.100  0.309
F  0.320  0.725  0.601
F  0.417  0.599  0.807
F  0.418  0.986  0.308
F  0.783  0.167  0.392
F  0.783  0.782  0.893
F  0.995  0.669  0.893
F  0.996  0.496  0.396

---

For RbErS2O9, a structure optimized by DFT (PBE) gives the theoretical powder diffraction line list in this record (Cu Kα X-rays).

Peak list (8 most intense, 10 to 90 degrees two-theta, in order of falling intensity)
- 14.16°, rel. 100, (0 1 1)
- 26.79°, rel. 90, (1 2 1)
- 28.91°, rel. 75, (3 1 -2)
- 27.70°, rel. 47, (1 1 2)
- 14.30°, rel. 42, (1 1 0)
- 41.58°, rel. 41, (3 2 1)
- 19.77°, rel. 28, (2 0 0)
- 22.95°, rel. 28, (0 2 1)

Crystal structure
Cell lengths 10.154, 8.557, 10.353 Å; angles 90.00, 117.80, 90.00 degrees
Sites, in units of the cell vectors:
Rb  0.218  0.168  0.183
Rb  0.218  0.332  0.683
Rb  0.782  0.668  0.317
Rb  0.782  0.832  0.817
Er  0.250  0.631  0.032
Er  0.250  0.869  0.532
Er  0.750  0.131  0.468
Er  0.750  0.369  0.968
S  0.060  0.632  0.184
S  0.060  0.868  0.684
S  0.489  0.697  0.891
S  0.489  0.803  0.391
S  0.511  0.197  0.609
S  0.511  0.303  0.109
S  0.940  0.132  0.316
S  0.940  0.368  0.816
O  0.066  0.748  0.580
O  0.066  0.752  0.080
O  0.087  0.706  0.324
O  0.087  0.794  0.824
O  0.092  0.060  0.381
O  0.092  0.440  0.881
O  0.174  0.513  0.200
O  0.174  0.987  0.700
O  0.339  0.616  0.561
O  0.339  0.884  0.061
O  0.358  0.608  0.880
O  0.358  0.892  0.380
O  0.397  0.090  0.612
O  0.397  0.410  0.112
O  0.440  0.699  0.260
O  0.440  0.801  0.760
O  0.444  0.209  0.974
O  0.444  0.291  0.474
O  0.556  0.709  0.526
O  0.556  0.791  0.026
O  0.560  0.199  0.240
O  0.560  0.301  0.740
O  0.603  0.590  0.888
O  0.603  0.910  0.388
O  0.642  0.108  0.620
O  0.642  0.392  0.120
O  0.661  0.116  0.939
O  0.661  0.384  0.439
O  0.826  0.013  0.300
O  0.826  0.487  0.800
O  0.908  0.560  0.119
O  0.908  0.940  0.619
O  0.913  0.206  0.176
O  0.913  0.294  0.676
O  0.934  0.248  0.920
O  0.934  0.252  0.420